Record 1
Structure and calculated PXRD pattern of Nb3Te4 (a structure optimized by DFT (GGA-PBE); Cu Kα (weighted mean of Kα1 and Kα2)).
Peak positions follow from Bragg's law for the DFT cell and can differ from measured ones.

Structure:
```
data_Nb3Te4
_chemical_formula_sum 'Nb6 Te8'
_symmetry_space_group_name_H-M 'P 63/m'
_symmetry_Int_Tables_number 176
_symmetry_space_group_name_Hall '-P 6c'
_cell_length_a 10.8111
_cell_length_b 10.8111
_cell_length_c 3.6511
_cell_angle_alpha 90.00
_cell_angle_beta 90.00
_cell_angle_gamma 120.00
loop_
_atom_site_label
_atom_site_type_symbol
_atom_site_fract_x
_atom_site_fract_y
_atom_site_fract_z
Nb1 Nb 0.1022 0.6135 0.2500
Te1 Te 0.0659 0.3379 0.2500
Te2 Te 0.3333 0.6667 0.7500
```

Principal peaks in the range 5 to 70 degrees two-theta, sorted by position:
Position (°2θ)  intensity
9.45  100
28.60  35
29.52  24
31.06  67
34.54  73
35.32  100
41.57  37
42.73  25
49.22  28
62.16  26


Record 2
Structure and calculated PXRD pattern of V3CrRu (a structure optimized by DFT (GGA-PBE); Cu Kα (weighted mean of Kα1 and Kα2)).
Peak positions follow from Bragg's law for the DFT cell and can differ from measured ones.

Structure:
```
data_V3CrRu
_chemical_formula_sum 'V18 Cr6 Ru6'
_symmetry_space_group_name_H-M 'R 3 2'
_symmetry_Int_Tables_number 155
_symmetry_space_group_name_Hall 'R 3 2"'
_cell_length_a 5.1807
_cell_length_b 5.1807
_cell_length_c 17.8935
_cell_angle_alpha 90.00
_cell_angle_beta 90.00
_cell_angle_gamma 120.00
loop_
_atom_site_label
_atom_site_type_symbol
_atom_site_fract_x
_atom_site_fract_y
_atom_site_fract_z
V1 V 0.0076 0.4808 0.3909
Cr1 Cr 0.0000 0.0000 0.1667
Ru1 Ru 0.0000 0.0000 0.4250
```

Principal peaks in the range 5 to 70 degrees two-theta, sorted by position:
Position (°2θ)  intensity
29.96  26
34.63  38
37.87  43
40.56  100
45.25  81
45.63  11
47.86  68
54.41  13
66.12  14
69.57  17


Record 3
Structure and calculated PXRD pattern of In3Ga2Ag7 (a structure optimized by DFT (GGA-PBE); Cu Kα (weighted mean of Kα1 and Kα2)).
Peak positions follow from Bragg's law for the DFT cell and can differ from measured ones.

Structure:
```
data_In3Ga2Ag7
_chemical_formula_sum 'In9 Ga6 Ag21'
_symmetry_space_group_name_H-M 'R -3 m'
_symmetry_Int_Tables_number 166
_symmetry_space_group_name_Hall '-R 3 2"'
_cell_length_a 5.6993
_cell_length_b 5.6993
_cell_length_c 26.3495
_cell_angle_alpha 90.00
_cell_angle_beta 90.00
_cell_angle_gamma 120.00
loop_
_atom_site_label
_atom_site_type_symbol
_atom_site_fract_x
_atom_site_fract_y
_atom_site_fract_z
In1 In 0.0000 0.0000 0.0000
In2 In 0.0000 0.0000 0.1431
Ga1 Ga 0.0000 0.0000 0.3336
Ag1 Ag 0.0000 0.0000 0.5000
Ag2 Ag 0.0042 0.5021 0.9180
```

Principal peaks in the range 5 to 70 degrees two-theta, sorted by position:
Position (°2θ)  intensity
29.85  22
31.39  22
32.69  25
36.57  43
37.06  19
37.63  100
40.36  34
41.11  23
60.05  24
65.51  27


Record 4
Structure and calculated PXRD pattern of Si2TeAu (a structure optimized by DFT (GGA-PBE); Cu Kα (weighted mean of Kα1 and Kα2)).
Peak positions follow from Bragg's law for the DFT cell and can differ from measured ones.

Structure:
```
data_Si2TeAu
_chemical_formula_sum 'Si4 Te2 Au2'
_symmetry_space_group_name_H-M 'I 4/m m m'
_symmetry_Int_Tables_number 139
_symmetry_space_group_name_Hall '-I 4 2'
_cell_length_a 5.508
_cell_length_b 5.508
_cell_length_c 5.416
_cell_angle_alpha 90.00
_cell_angle_beta 90.00
_cell_angle_gamma 90.00
loop_
_atom_site_label
_atom_site_type_symbol
_atom_site_fract_x
_atom_site_fract_y
_atom_site_fract_z
Si1 Si 0.000 0.500 0.000
Te1 Te 0.000 0.000 0.000
Au1 Au 0.000 0.000 0.500
```

Principal peaks in the range 5 to 70 degrees two-theta, sorted by position:
Position (°2θ)  intensity
22.83  100
23.03  15
32.51  88
33.08  42
40.58  47
46.64  32
47.06  62
52.55  24
58.37  33
63.51  25


Record 5
Structure and calculated PXRD pattern of La2Zn2Pt5Au (a structure optimized by DFT (GGA-PBE); Cu Kα (weighted mean of Kα1 and Kα2)).
Peak positions follow from Bragg's law for the DFT cell and can differ from measured ones.

Structure:
```
data_La2Zn2Pt5Au
_chemical_formula_sum 'La4 Zn4 Pt10 Au2'
_symmetry_space_group_name_H-M 'P 4/m b m'
_symmetry_Int_Tables_number 127
_symmetry_space_group_name_Hall '-P 4 2ab'
_cell_length_a 9.775
_cell_length_b 9.775
_cell_length_c 3.915
_cell_angle_alpha 90.00
_cell_angle_beta 90.00
_cell_angle_gamma 90.00
loop_
_atom_site_label
_atom_site_type_symbol
_atom_site_fract_x
_atom_site_fract_y
_atom_site_fract_z
La1 La 0.180 0.320 0.000
Zn1 Zn 0.118 0.618 0.000
Pt1 Pt 0.000 0.500 0.500
Pt2 Pt 0.063 0.792 0.500
Au1 Au 0.000 0.000 0.000
```

Principal peaks in the range 5 to 70 degrees two-theta, sorted by position:
Position (°2θ)  intensity
30.65  22
34.62  34
37.05  100
37.95  44
40.47  37
41.30  18
46.38  27
61.42  22
63.85  17
65.64  10


Record 6
Structure and calculated PXRD pattern of PmTmTh (a structure optimized by DFT (GGA-PBE); Cu Kα (weighted mean of Kα1 and Kα2)).
Peak positions follow from Bragg's law for the DFT cell and can differ from measured ones.

Structure:
```
data_PmTmTh
_chemical_formula_sum 'Pm6 Tm6 Th6'
_symmetry_space_group_name_H-M 'R -3 m'
_symmetry_Int_Tables_number 166
_symmetry_space_group_name_Hall '-R 3 2"'
_cell_length_a 3.5811
_cell_length_b 3.5811
_cell_length_c 52.3694
_cell_angle_alpha 90.00
_cell_angle_beta 90.00
_cell_angle_gamma 120.00
loop_
_atom_site_label
_atom_site_type_symbol
_atom_site_fract_x
_atom_site_fract_y
_atom_site_fract_z
Pm1 Pm 0.0000 0.0000 0.1957
Tm1 Tm 0.0000 0.0000 0.0818
Th1 Th 0.0000 0.0000 0.3605
```

Principal peaks in the range 5 to 70 degrees two-theta, sorted by position:
Position (°2θ)  intensity
5.06  40
29.60  34
30.73  44
31.22  100
34.52  66
37.68  26
51.01  34
52.73  26
60.74  39
61.02  15


Record 7
Structure and calculated PXRD pattern of Ti4ZnTc2 (a structure optimized by DFT (GGA-PBE); Cu Kα (weighted mean of Kα1 and Kα2)).
Peak positions follow from Bragg's law for the DFT cell and can differ from measured ones.

Structure:
```
data_Ti4ZnTc2
_chemical_formula_sum 'Ti8 Zn2 Tc4'
_symmetry_space_group_name_H-M 'I 4/m m m'
_symmetry_Int_Tables_number 139
_symmetry_space_group_name_Hall '-I 4 2'
_cell_length_a 4.596
_cell_length_b 4.596
_cell_length_c 12.399
_cell_angle_alpha 90.00
_cell_angle_beta 90.00
_cell_angle_gamma 90.00
loop_
_atom_site_label
_atom_site_type_symbol
_atom_site_fract_x
_atom_site_fract_y
_atom_site_fract_z
Ti1 Ti 0.000 0.000 0.200
Ti2 Ti 0.000 0.500 0.000
Zn1 Zn 0.000 0.000 0.000
Tc1 Tc 0.000 0.000 0.384
```

Principal peaks in the range 5 to 70 degrees two-theta, sorted by position:
Position (°2θ)  intensity
14.29  37
27.44  93
29.06  26
39.20  100
40.20  31
41.37  94
49.53  12
56.65  32
58.31  65
64.07  16